Diffraction record for Mn2Zn6Cu. The XRD peak list is theoretical, not measured: it uses a crystal structure in Alexandria, relaxed with PBE and Cu Kα (λ = 1.5418 Å).
No peak broadening, texture or thermal motion is included.

The 10 most intense peaks (2θ = 10–80°), sorted by position:
d_spacing	I (rel.)
2.641	11
2.358	45
2.176	52
2.137	51
2.119	100
1.999	35
1.876	12
1.667	17
1.413	13
1.245	14

Atomic structure:
```
Mn2Zn6Cu
1.0
-1.3484 3.6386 6.5269
1.3484 -3.6386 6.5269
1.3484 3.6386 -6.5269
Mn Zn Cu
2 6 1
direct
0.1507 0.1507 0.0000
0.8493 0.8493 0.0000
0.1557 0.3290 0.8267
0.1760 0.5000 0.6760
0.4978 0.6710 0.8267
0.5022 0.3290 0.1733
0.8240 0.5000 0.3240
0.8443 0.6710 0.1733
0.5000 0.0000 0.5000
```



Diffraction record for MnZnCu4. The XRD peak list is theoretical, not measured: it uses a crystal structure in Alexandria, relaxed with PBE and Cu Kα (λ = 1.5418 Å).
No peak broadening, texture or thermal motion is included.

The 6 most intense peaks (2θ = 10–80°), sorted by position:
d_spacing	I (rel.)
8.392	1
2.134	57
2.052	100
1.509	17
1.399	7
1.216	32

Atomic structure:
```
MnZnCu4
1.0
3.0179 0.0000 0.0000
0.0000 3.0179 0.0000
0.0000 0.0000 8.3921
Mn Zn Cu
1 1 4
direct
0.0000 0.0000 0.0000
0.5000 0.5000 0.5000
0.0000 0.0000 0.3305
0.0000 0.0000 0.6695
0.5000 0.5000 0.1681
0.5000 0.5000 0.8319
```



Diffraction record for MnZnCu. The XRD peak list is theoretical, not measured: it uses a crystal structure in Alexandria, relaxed with PBE and Cu Kα (λ = 1.5418 Å).
No peak broadening, texture or thermal motion is included.

The 10 most intense peaks (2θ = 10–80°), sorted by position:
d_spacing	I (rel.)
3.944	1
3.401	1
2.183	100
2.157	96
1.910	1
1.885	31
1.876	61
1.339	9
1.330	36
1.315	9

Atomic structure:
```
MnZnCu
1.0
-1.3388 1.8846 3.9443
1.3388 -1.8846 3.9443
1.3388 1.8846 -3.9443
Mn Zn Cu
1 1 1
direct
0.0000 0.0000 0.0000
0.3318 0.3318 0.0000
0.6673 0.6673 0.0000
```



Diffraction record for MnZn2Cu2. The XRD peak list is theoretical, not measured: it uses a crystal structure in Alexandria, relaxed with PBE and Cu Kα (λ = 1.5418 Å).
No peak broadening, texture or thermal motion is included.

The 10 most intense peaks (2θ = 10–80°), sorted by position:
d_spacing	I (rel.)
2.502	28
2.388	70
2.161	96
2.140	76
2.065	71
2.019	100
1.895	89
1.715	18
1.510	18
1.305	34

Atomic structure:
```
MnZn2Cu2
1.0
4.2868 -1.3135 0.0000
4.2868 1.3135 0.0000
-1.8224 0.0000 6.0685
Mn Zn Cu
1 2 2
direct
0.0000 0.0000 0.0000
0.3149 0.3149 0.2041
0.6851 0.6851 0.7959
0.3797 0.3797 0.6219
0.6203 0.6203 0.3781
```



Diffraction record for Zr4MnCu. The XRD peak list is theoretical, not measured: it uses a crystal structure in Alexandria, relaxed with PBE and Cu Kα (λ = 1.5418 Å).
No peak broadening, texture or thermal motion is included.

The 10 most intense peaks (2θ = 10–80°), sorted by position:
d_spacing	I (rel.)
2.748	12
2.567	100
2.358	24
2.295	10
2.097	34
2.053	32
1.549	20
1.513	17
1.397	9
1.337	18

Atomic structure:
```
Zr4MnCu
1.0
6.4909 0.0000 0.0000
0.0000 6.4909 0.0000
0.0000 0.0000 5.4966
Zr Mn Cu
8 2 2
direct
0.1572 0.3247 0.0000
0.1572 0.6753 0.5000
0.3247 0.1572 0.5000
0.3247 0.8428 0.0000
0.6753 0.1572 0.0000
0.6753 0.8428 0.5000
0.8428 0.3247 0.5000
0.8428 0.6753 0.0000
0.0000 0.0000 0.2500
0.0000 0.0000 0.7500
0.5000 0.5000 0.2500
0.5000 0.5000 0.7500
```



Diffraction record for Zr6MnCu. The XRD peak list is theoretical, not measured: it uses a crystal structure in Alexandria, relaxed with PBE and Cu Kα (λ = 1.5418 Å).
No peak broadening, texture or thermal motion is included.

The 10 most intense peaks (2θ = 10–80°), sorted by position:
d_spacing	I (rel.)
2.984	9
2.467	100
2.294	46
1.900	8
1.700	7
1.622	15
1.463	12
1.376	6
1.355	28
1.234	7

Atomic structure:
```
Zr6MnCu
1.0
-2.2940 2.2940 7.5999
2.2940 -2.2940 7.5999
2.2940 2.2940 -7.5999
Zr Mn Cu
6 1 1
direct
0.1061 0.6061 0.5000
0.2486 0.2486 0.0000
0.3939 0.8939 0.5000
0.6061 0.1061 0.5000
0.7514 0.7514 0.0000
0.8939 0.3939 0.5000
0.0000 0.0000 0.0000
0.5000 0.5000 0.0000
```



Diffraction record for Cu5Mo3. The XRD peak list is theoretical, not measured: it uses a crystal structure in Alexandria, relaxed with PBE and Cu Kα (λ = 1.5418 Å).
No peak broadening, texture or thermal motion is included.

The 10 most intense peaks (2θ = 10–80°), sorted by position:
d_spacing	I (rel.)
5.509	2
3.971	3
2.615	1
2.184	100
1.986	18
1.912	16
1.793	13
1.377	10
1.331	9
1.308	9

Atomic structure:
```
Cu5Mo3
1.0
3.8233 -3.9713 0.0000
3.8233 3.9713 0.0000
0.0000 0.0000 3.5852
Cu Mo
5 3
direct
0.0000 0.0000 0.0000
0.0000 0.5000 0.0000
0.2365 0.7635 0.5000
0.5000 0.0000 0.0000
0.7635 0.2365 0.5000
0.2623 0.2623 0.5000
0.5000 0.5000 0.0000
0.7377 0.7377 0.5000
```



Diffraction record for CuMo. The XRD peak list is theoretical, not measured: it uses a crystal structure in Alexandria, relaxed with PBE and Cu Kα (λ = 1.5418 Å).
No peak broadening, texture or thermal motion is included.

The 10 most intense peaks (2θ = 10–80°), sorted by position:
d_spacing	I (rel.)
2.203	16
2.189	37
2.174	100
2.158	50
2.092	65
1.952	13
1.537	23
1.278	12
1.249	15
1.233	11

Atomic structure:
```
CuMo
1.0
2.5775 0.0000 0.0000
0.0000 4.3155 0.0000
-0.5541 0.0000 5.0340
Cu Mo
2 2
direct
0.0116 0.2500 0.1236
0.9884 0.7500 0.8764
0.3938 0.2500 0.6372
0.6062 0.7500 0.3628
```